The following is a theoretical PXRD pattern of Pm3Y2Er6. It was derived from the PBE geometry in Alexandria, using Cu Kα X-rays.

Main lines, most intense first (2θ = 5–70°):
2θ = 30.73°, I 100
2θ = 30.85°, I 99
2θ = 35.65°, I 67
2θ = 51.40°, I 36
2θ = 35.81°, I 33
2θ = 61.16°, I 28
2θ = 51.49°, I 24
2θ = 60.91°, I 21
2θ = 61.05°, I 14
2θ = 61.26°, I 14

Structure:
a = 6.150 Å, b = 7.932 Å, c = 7.967 Å
α = 107.43°, β = 104.75°, γ = 97.26°
Space group P-1 (No. 2)
Symmetry-distinct sites (fractional):
Pm: 0.000 0.000 0.000 (multiplicity 1)
Pm: 0.364 0.274 0.454 (multiplicity 2)
Y: 0.091 0.817 0.363 (multiplicity 2)
Er: 0.182 0.636 0.729 (multiplicity 2)
Er: 0.274 0.455 0.090 (multiplicity 2)
Er: 0.454 0.093 0.820 (multiplicity 2)